Entry 1:
Diffraction record for LiMoP2O7. The powder X-ray diffraction pattern is theoretical, not measured: it uses a PBE+U-relaxed structure and Cu Kα.

Principal peaks in the range 10 to 90 degrees two-theta, in order of rising 2θ:
d [Å]  Position (°2θ)  I/Imax
5.238  16.9  100
4.112  21.6  40
4.022  22.1  13
3.420  26.1  17
3.160  28.2  21
3.132  28.5  13
3.076  29.0  68
3.041  29.4  24

Crystal structure
```
LiMoP2O7
1.0
7.322 0.000 0.000
0.000 8.272 0.000
-3.518 0.000 9.206
Li Mo P O
4 4 8 28
Direct
0.193 0.020 0.225 Li
0.193 0.480 0.725 Li
0.807 0.520 0.275 Li
0.807 0.980 0.775 Li
0.244 0.001 0.751 Mo
0.244 0.499 0.251 Mo
0.756 0.501 0.749 Mo
0.756 0.999 0.249 Mo
0.165 0.717 0.951 P
0.165 0.783 0.451 P
0.416 0.241 0.042 P
0.416 0.259 0.542 P
0.584 0.741 0.458 P
0.584 0.759 0.958 P
0.835 0.217 0.549 P
0.835 0.283 0.049 P
0.049 0.582 0.851 O
0.049 0.918 0.351 O
0.102 0.612 0.389 O
0.102 0.888 0.889 O
0.183 0.710 0.109 O
0.183 0.790 0.609 O
0.308 0.216 0.879 O
0.308 0.284 0.379 O
0.315 0.128 0.595 O
0.315 0.372 0.095 O
0.374 0.678 0.935 O
0.374 0.822 0.435 O
0.454 0.085 0.134 O
0.454 0.415 0.634 O
0.546 0.585 0.366 O
0.546 0.915 0.866 O
0.626 0.178 0.565 O
0.626 0.322 0.065 O
0.685 0.628 0.905 O
0.685 0.872 0.405 O
0.692 0.716 0.621 O
0.692 0.784 0.121 O
0.817 0.210 0.391 O
0.817 0.290 0.891 O
0.898 0.112 0.111 O
0.898 0.388 0.611 O
0.951 0.082 0.649 O
0.951 0.418 0.149 O
```

---

Entry 2:
Diffraction record for LiMoP2O7. The powder X-ray diffraction pattern is theoretical, not measured: it uses a PBE+U-relaxed structure and Cu Kα.

Principal peaks in the range 10 to 90 degrees two-theta, in order of rising 2θ:
d [Å]  Position (°2θ)  I/Imax
5.308  16.7  100
4.154  21.4  29
4.103  21.7  17
3.384  26.3  20
3.169  28.2  58
3.085  28.9  26
2.652  33.8  24
2.171  41.6  15

Crystal structure
```
LiMoP2O7
1.0
7.237 0.000 0.000
0.000 8.643 0.000
-3.531 0.000 9.323
Li Mo P O
4 4 8 28
Direct
0.178 0.123 0.253 Li
0.178 0.377 0.753 Li
0.822 0.623 0.247 Li
0.822 0.877 0.747 Li
0.231 0.000 0.749 Mo
0.231 0.500 0.249 Mo
0.769 0.000 0.251 Mo
0.769 0.500 0.751 Mo
0.190 0.689 0.941 P
0.190 0.811 0.441 P
0.401 0.227 0.052 P
0.401 0.273 0.552 P
0.599 0.727 0.448 P
0.599 0.773 0.948 P
0.810 0.189 0.559 P
0.810 0.311 0.059 P
0.081 0.555 0.844 O
0.081 0.945 0.344 O
0.114 0.652 0.373 O
0.114 0.848 0.873 O
0.196 0.681 0.094 O
0.196 0.819 0.594 O
0.279 0.174 0.614 O
0.279 0.326 0.114 O
0.285 0.198 0.892 O
0.285 0.302 0.392 O
0.411 0.667 0.939 O
0.411 0.833 0.439 O
0.471 0.079 0.139 O
0.471 0.421 0.639 O
0.529 0.579 0.361 O
0.529 0.921 0.861 O
0.589 0.167 0.561 O
0.589 0.333 0.061 O
0.715 0.698 0.608 O
0.715 0.802 0.108 O
0.721 0.674 0.886 O
0.721 0.826 0.386 O
0.804 0.181 0.406 O
0.804 0.319 0.906 O
0.886 0.152 0.127 O
0.886 0.348 0.627 O
0.919 0.055 0.656 O
0.919 0.445 0.156 O
```

---

Entry 3:
Diffraction record for LiMo2P3O12. The powder X-ray diffraction pattern is theoretical, not measured: it uses a PBE+U-relaxed structure and Cu Kα.

Principal peaks in the range 10 to 90 degrees two-theta, in order of rising 2θ:
d [Å]  Position (°2θ)  I/Imax
6.286  14.1  33
4.463  19.9  100
4.424  20.1  74
3.793  23.5  23
3.783  23.5  49
3.138  28.4  42
2.820  31.7  43
2.561  35.0  47

Crystal structure
```
LiMo2P3O12
1.0
7.677 -4.416 0.000
7.677 4.416 0.000
-5.099 0.000 7.320
Li Mo P O
2 4 6 24
Direct
0.158 0.842 0.500 Li
0.842 0.158 0.000 Li
0.161 0.657 0.032 Mo
0.446 0.946 0.881 Mo
0.657 0.161 0.532 Mo
0.946 0.446 0.381 Mo
0.047 0.267 0.706 P
0.267 0.047 0.206 P
0.335 0.554 0.697 P
0.554 0.335 0.197 P
0.763 0.843 0.713 P
0.843 0.763 0.213 P
0.013 0.305 0.538 O
0.033 0.744 0.225 O
0.078 0.205 0.201 O
0.090 0.425 0.885 O
0.181 0.506 0.514 O
0.205 0.078 0.701 O
0.246 0.878 0.190 O
0.293 0.590 0.860 O
0.305 0.013 0.038 O
0.346 0.727 0.704 O
0.392 0.520 0.194 O
0.425 0.090 0.385 O
0.506 0.181 0.014 O
0.520 0.392 0.694 O
0.578 0.860 0.709 O
0.590 0.293 0.360 O
0.686 0.805 0.044 O
0.727 0.346 0.204 O
0.744 0.033 0.725 O
0.805 0.686 0.544 O
0.818 0.918 0.396 O
0.860 0.578 0.209 O
0.878 0.246 0.690 O
0.918 0.818 0.896 O
```

---

Entry 4:
Diffraction record for LiMo2P3O12. The powder X-ray diffraction pattern is theoretical, not measured: it uses a PBE+U-relaxed structure and Cu Kα.

Principal peaks in the range 10 to 90 degrees two-theta, in order of rising 2θ:
d [Å]  Position (°2θ)  I/Imax
6.252  14.2  66
6.222  14.2  33
4.573  19.4  100
4.558  19.5  56
4.265  20.8  61
3.742  23.8  47
3.116  28.6  66
2.866  31.2  87

Crystal structure
```
LiMo2P3O12
1.0
8.528 0.000 0.000
4.200 7.428 0.000
4.220 2.509 7.738
Li Mo P O
2 4 6 24
Direct
0.241 0.073 0.369 Li
0.759 0.927 0.631 Li
0.153 0.643 0.554 Mo
0.355 0.850 0.930 Mo
0.645 0.150 0.070 Mo
0.847 0.357 0.446 Mo
0.039 0.966 0.746 P
0.247 0.463 0.252 P
0.467 0.247 0.754 P
0.533 0.753 0.246 P
0.753 0.537 0.748 P
0.961 0.034 0.254 P
0.011 0.827 0.700 O
0.038 0.491 0.299 O
0.041 0.147 0.585 O
0.115 0.995 0.091 O
0.238 0.878 0.767 O
0.280 0.491 0.391 O
0.305 0.606 0.077 O
0.334 0.451 0.700 O
0.335 0.793 0.387 O
0.373 0.259 0.244 O
0.394 0.101 0.779 O
0.492 0.208 0.925 O
0.508 0.792 0.075 O
0.606 0.899 0.221 O
0.627 0.741 0.756 O
0.665 0.207 0.613 O
0.666 0.549 0.300 O
0.695 0.394 0.923 O
0.720 0.509 0.609 O
0.762 0.122 0.233 O
0.885 0.005 0.909 O
0.959 0.853 0.415 O
0.962 0.509 0.701 O
0.989 0.173 0.300 O
```

---

Entry 5:
Diffraction record for Li4MoP2O9. The powder X-ray diffraction pattern is theoretical, not measured: it uses a PBE+U-relaxed structure and Cu Kα.

Principal peaks in the range 10 to 90 degrees two-theta, in order of rising 2θ:
d [Å]  Position (°2θ)  I/Imax
7.206  12.3  100
5.097  17.4  37
4.750  18.7  21
3.478  25.6  19
3.231  27.6  28
3.215  27.8  24
3.162  28.2  56
2.513  35.7  22

Crystal structure
```
Li4MoP2O9
1.0
7.230 -3.519 0.000
7.230 3.519 0.000
-0.024 0.000 7.185
Li Mo P O
8 2 4 18
Direct
0.000 0.500 0.500 Li
0.100 0.100 0.240 Li
0.231 0.769 0.000 Li
0.369 0.369 0.309 Li
0.500 0.000 0.500 Li
0.631 0.631 0.691 Li
0.769 0.231 0.000 Li
0.900 0.900 0.760 Li
0.000 0.500 0.000 Mo
0.500 0.000 0.000 Mo
0.122 0.122 0.699 P
0.403 0.403 0.757 P
0.597 0.597 0.243 P
0.878 0.878 0.301 P
0.004 0.635 0.249 O
0.034 0.034 0.818 O
0.117 0.117 0.489 O
0.194 0.557 0.880 O
0.240 0.240 0.130 O
0.347 0.347 0.576 O
0.365 0.996 0.751 O
0.443 0.806 0.120 O
0.493 0.493 0.248 O
0.507 0.507 0.752 O
0.557 0.194 0.880 O
0.635 0.004 0.249 O
0.653 0.653 0.424 O
0.760 0.760 0.870 O
0.806 0.443 0.120 O
0.883 0.883 0.511 O
0.966 0.966 0.182 O
0.996 0.365 0.751 O
```

---

Entry 6:
Diffraction record for LiMoP2O7. The powder X-ray diffraction pattern is theoretical, not measured: it uses a PBE+U-relaxed structure and Cu Kα.

Principal peaks in the range 10 to 90 degrees two-theta, in order of rising 2θ:
d [Å]  Position (°2θ)  I/Imax
5.318  16.7  100
4.151  21.4  28
4.087  21.7  24
3.403  26.2  22
3.157  28.3  60
3.081  29.0  31
2.659  33.7  16
2.164  41.7  13

Crystal structure
```
LiMoP2O7
1.0
5.005 0.000 0.000
0.000 8.597 0.000
-2.293 0.000 6.768
Li Mo P O
2 2 4 14
Direct
0.185 0.000 0.167 Li
0.815 0.500 0.833 Li
0.209 0.354 0.225 Mo
0.791 0.854 0.775 Mo
0.216 0.068 0.581 P
0.403 0.676 0.034 P
0.597 0.176 0.966 P
0.784 0.568 0.419 P
0.043 0.534 0.360 O
0.141 0.151 0.382 O
0.206 0.818 0.997 O
0.238 0.522 0.009 O
0.392 0.922 0.579 O
0.399 0.175 0.091 O
0.409 0.194 0.738 O
0.591 0.694 0.262 O
0.601 0.675 0.909 O
0.608 0.422 0.421 O
0.762 0.022 0.991 O
0.794 0.318 0.003 O
0.859 0.651 0.618 O
0.957 0.034 0.640 O
```